Sm4Dy2Bi3N2: simulated X-ray powder pattern (copper Kα), based on DFT lattice parameters and positions (GGA-PBE).

Principal peaks in the range 2θ from 10° to 90°, by angle:
(1 1 2), 27.3°, I 33; (0 0 8), 27.4°, I 13; (1 1 4), 29.8°, I 18; (1 1 6), 33.6°, I 100; (0 0 10), 34.4°, I 14; (2 0 0), 37.6°, I 51; (2 0 10), 51.9°, I 18; (2 2 0), 54.3°, I 18; (1 1 16), 63.4°, I 15; (3 1 6), 65.4°, I 30

Cell and atoms:
```
data_Sm4Dy2Bi3N2
_chemical_formula_sum 'Sm8 Dy4 Bi6 N4'
_space_group_name_H-M_alt 'I 4/m m m'
_space_group_IT_number 139
_space_group_name_Hall '-I 4 2'
_cell_length_a 4.7802
_cell_length_b 4.7802
_cell_length_c 26.0436
_cell_angle_alpha 90.00
_cell_angle_beta 90.00
_cell_angle_gamma 90.00
loop_
_atom_site_label
_atom_site_fract_x
_atom_site_fract_y
_atom_site_fract_z
_atom_site_occupancy
Sm1 0.0000 0.5000 0.0850 1
Dy1 0.0000 0.0000 0.1904 1
Bi1 0.0000 0.0000 0.3174 1
Bi2 0.0000 0.0000 0.5000 1
N1 0.0000 0.0000 0.1061 1
```